[1]
# FeCuI2Cl2
Theoretical powder diffraction line list, copper Kα. Input: a cell relaxed with GGA-PBE.

Peak list (6 most intense, 10 to 90 degrees two-theta, low angle first)
Position (°2θ), I/Imax, index
17.1, 100.0, 0 1 -1
25.7, 51.5, 1 1 0
26.4, 46.5, -1 1 1
26.6, 47.2, 1 -1 1
27.5, 40.6, 1 1 -2
29.5, 31.8, 1 0 -2

```
data_FeCuI2Cl2
_chemical_formula_sum 'Fe1 Cu1 I2 Cl2'
_cell_length_a 6.0573
_cell_length_b 6.0691
_cell_length_c 6.6653
_cell_angle_alpha 114.20
_cell_angle_beta 114.54
_cell_angle_gamma 90.19
_symmetry_space_group_name_H-M 'P 1'
_symmetry_Int_Tables_number 1
loop_
_symmetry_equiv_pos_as_xyz
'x,y,z'
loop_
_atom_site_label
_atom_site_type_symbol
_atom_site_fract_x
_atom_site_fract_y
_atom_site_fract_z
Fe1 Fe 0.0000 0.0000 0.0000
Cu1 Cu 0.7760 0.2310 0.5005
I1 I 0.1268 0.6242 0.7471
I2 I 0.3843 0.3515 0.2452
Cl1 Cl 0.6916 0.1119 0.7539
Cl2 Cl 0.8980 0.9164 0.2516
```



[2]
# TbYSn2Ir
Theoretical powder diffraction line list, copper Kα. Input: a cell relaxed with GGA-PBE.

Peak list (6 most intense, 10 to 90 degrees two-theta, low angle first)
Position (°2θ), I/Imax, index
30.8, 82.2, 1 1 2
31.7, 96.1, 1 1 -3
32.7, 46.0, 4 0 -2
38.1, 100.0, 3 1 1
40.1, 69.4, 0 2 0
40.2, 41.7, 3 1 -4

```
data_TbYSn2Ir
_chemical_formula_sum 'Tb4 Y4 Sn8 Ir4'
_cell_length_a 10.9721
_cell_length_b 4.4998
_cell_length_c 10.9479
_cell_angle_alpha 90.00
_cell_angle_beta 115.94
_cell_angle_gamma 90.00
_symmetry_space_group_name_H-M 'C 1 2/m 1'
_symmetry_Int_Tables_number 12
loop_
_symmetry_equiv_pos_as_xyz
'x,y,z'
'-x,-y,-z'
'-x,y,-z'
'x,-y,z'
'x+1/2,y+1/2,z'
'-x+1/2,-y+1/2,-z'
'-x+1/2,y+1/2,-z'
'x+1/2,-y+1/2,z'
loop_
_atom_site_label
_atom_site_type_symbol
_atom_site_fract_x
_atom_site_fract_y
_atom_site_fract_z
Tb1 Tb 0.1871 0.0000 0.1281
Y1 Y 0.0014 0.0000 0.6717
Sn1 Sn 0.0303 0.5000 0.8834
Sn2 Sn 0.1549 0.5000 0.5479
Ir1 Ir 0.2240 0.5000 0.3253
```



[3]
# Cu4Ag
Theoretical powder diffraction line list, copper Kα. Input: a cell relaxed with GGA-PBE.

Peak list (6 most intense, 10 to 90 degrees two-theta, low angle first)
Position (°2θ), I/Imax, index
41.9, 100.0, 1 5 1
48.4, 16.8, 0 0 2
48.8, 16.3, 2 0 0
49.0, 13.5, 0 10 0
85.9, 11.0, 1 5 3
86.5, 10.9, 3 5 1

```
data_Cu4Ag
_chemical_formula_sum 'Cu16 Ag4'
_cell_length_a 3.7296
_cell_length_b 18.5764
_cell_length_c 3.7608
_cell_angle_alpha 90.00
_cell_angle_beta 90.00
_cell_angle_gamma 90.00
_symmetry_space_group_name_H-M 'C m c m'
_symmetry_Int_Tables_number 63
_symmetry_space_group_name_Hall '-C 2c 2'
loop_
_atom_site_label
_atom_site_type_symbol
_atom_site_fract_x
_atom_site_fract_y
_atom_site_fract_z
Cu1 Cu 0.0000 0.0578 0.2500
Cu2 Cu 0.0000 0.1585 0.7500
Cu3 Cu 0.0000 0.2501 0.2500
Cu4 Cu 0.0000 0.3419 0.7500
Ag1 Ag 0.0000 0.4446 0.2500
```



[4]
# ErAl4GaIr
Theoretical powder diffraction line list, copper Kα. Input: a cell relaxed with GGA-PBE.

Peak list (6 most intense, 10 to 90 degrees two-theta, low angle first)
Position (°2θ), I/Imax, index
20.8, 77.8, 1 0 0
25.8, 34.0, 0 0 2
29.5, 42.3, 1 1 0
33.4, 47.8, 1 0 2
39.6, 100.0, 1 1 2
42.2, 45.7, 2 0 0

```
data_ErAl4GaIr
_chemical_formula_sum 'Er1 Al4 Ga1 Ir1'
_cell_length_a 4.2792
_cell_length_b 4.2792
_cell_length_c 6.8935
_cell_angle_alpha 90.00
_cell_angle_beta 90.00
_cell_angle_gamma 90.00
_symmetry_space_group_name_H-M 'P 4/m m m'
_symmetry_Int_Tables_number 123
_symmetry_space_group_name_Hall '-P 4 2'
loop_
_atom_site_label
_atom_site_type_symbol
_atom_site_fract_x
_atom_site_fract_y
_atom_site_fract_z
Er1 Er 0.0000 0.0000 0.0000
Al1 Al 0.0000 0.5000 0.3037
Ga1 Ga 0.5000 0.5000 0.0000
Ir1 Ir 0.0000 0.0000 0.5000
```



[5]
# Gd2DyCu2B2N3
Theoretical powder diffraction line list, copper Kα. Input: a cell relaxed with GGA-PBE.

Peak list (6 most intense, 10 to 90 degrees two-theta, low angle first)
Position (°2θ), I/Imax, index
28.6, 100.0, 1 0 3
33.6, 94.3, 1 0 5
35.1, 56.9, 0 0 8
36.1, 40.5, 1 1 0
37.2, 51.0, 1 1 2
52.0, 40.6, 2 0 0

```
data_Gd2DyCu2B2N3
_chemical_formula_sum 'Gd4 Dy2 Cu4 B4 N6'
_cell_length_a 3.5150
_cell_length_b 3.5150
_cell_length_c 20.4419
_cell_angle_alpha 90.00
_cell_angle_beta 90.00
_cell_angle_gamma 90.00
_symmetry_space_group_name_H-M 'I 4/m m m'
_symmetry_Int_Tables_number 139
_symmetry_space_group_name_Hall '-I 4 2'
loop_
_atom_site_label
_atom_site_type_symbol
_atom_site_fract_x
_atom_site_fract_y
_atom_site_fract_z
Gd1 Gd 0.0000 0.0000 0.1212
Dy1 Dy 0.0000 0.0000 0.5000
Cu1 Cu 0.0000 0.5000 0.2500
B1 B 0.0000 0.0000 0.3156
N1 N 0.0000 0.0000 0.0000
N2 N 0.0000 0.0000 0.3860
```